[1]
The following is a computed powder XRD pattern of Mg2ScHg. It was derived from the GGA-PBE geometry in OQMD, using Cu Kα (weighted mean of Kα1 and Kα2).
Kinematic intensities with the Lorentz-polarization factor, no thermal factor.

Structure:
abc: 6.3859 6.3859 4.9211
angles: 90.00 90.00 122.71
Atoms (fractional coordinates):
Mg (0.1748, 0.3260, 0.2500)
Mg (0.3260, 0.1748, 0.7500)
Mg (0.6740, 0.8252, 0.2500)
Mg (0.8252, 0.6740, 0.7500)
Sc (0.1814, 0.8186, 0.2500)
Sc (0.8186, 0.1814, 0.7500)
Hg (0.3314, 0.6686, 0.7500)
Hg (0.6686, 0.3314, 0.2500)

Most intense lines, 10 to 90 degrees two-theta, by angle:
| d [Å] | intensity |
| --- | --- |
| 3.698 | 71 |
| 3.629 | 89 |
| 3.189 | 45 |
| 2.461 | 41 |
| 2.435 | 66 |
| 2.358 | 100 |

=====

[2]
The following is a computed powder XRD pattern of SrMg2SnHg. It was derived from the GGA-PBE geometry in OQMD, using Cu Kα (weighted mean of Kα1 and Kα2).
Kinematic intensities with the Lorentz-polarization factor, no thermal factor.

Structure:
abc: 7.1591 7.1591 7.1591
angles: 142.34 142.34 54.31
Atoms (fractional coordinates):
Sr (0.0000, 0.0000, 0.0000)
Mg (0.2539, 0.7539, 0.5000)
Mg (0.7539, 0.2539, 0.5000)
Sn (0.3942, 0.3942, 0.0000)
Hg (0.6196, 0.6196, 0.0000)

Most intense lines, 10 to 90 degrees two-theta, by angle:
| d [Å] | intensity |
| --- | --- |
| 4.344 | 83 |
| 3.268 | 99 |
| 3.127 | 100 |
| 2.311 | 65 |
| 2.231 | 81 |
| 1.605 | 59 |

=====

[3]
The following is a computed powder XRD pattern of SrMgHg6. It was derived from the GGA-PBE geometry in OQMD, using Cu Kα (weighted mean of Kα1 and Kα2).
Kinematic intensities with the Lorentz-polarization factor, no thermal factor.

Structure:
abc: 6.6682 6.6682 5.0989
angles: 90.00 90.00 120.00
Atoms (fractional coordinates):
Sr (0.0000, 0.0000, 0.0000)
Mg (0.3333, 0.6667, 0.5000)
Hg (0.0107, 0.5054, 0.0000)
Hg (0.3487, 0.1744, 0.5000)
Hg (0.4946, 0.5054, 0.0000)
Hg (0.4946, 0.9893, 0.0000)
Hg (0.8256, 0.1744, 0.5000)
Hg (0.8256, 0.6513, 0.5000)

Most intense lines, 10 to 90 degrees two-theta, by angle:
| d [Å] | intensity |
| --- | --- |
| 2.887 | 24 |
| 2.549 | 23 |
| 2.513 | 100 |
| 1.667 | 19 |
| 1.465 | 19 |
| 1.395 | 21 |

=====

[4]
The following is a computed powder XRD pattern of Mg3Hg2W2. It was derived from the GGA-PBE geometry in OQMD, using Cu Kα (weighted mean of Kα1 and Kα2).
Kinematic intensities with the Lorentz-polarization factor, no thermal factor.

Structure:
abc: 8.0595 8.0595 8.0595
angles: 33.04 33.04 33.04
Atoms (fractional coordinates):
Mg (0.0000, 0.0000, 0.0000)
Mg (0.2466, 0.2466, 0.2466)
Mg (0.5021, 0.5021, 0.5021)
Hg (0.1242, 0.1242, 0.1242)
Hg (0.6217, 0.6217, 0.6217)
W (0.3807, 0.3807, 0.3807)
W (0.7417, 0.7417, 0.7417)

Most intense lines, 10 to 90 degrees two-theta, by angle:
| d [Å] | intensity |
| --- | --- |
| 7.613 | 85 |
| 3.749 | 38 |
| 3.259 | 39 |
| 2.318 | 98 |
| 2.291 | 100 |
| 1.328 | 34 |

=====

[5]
The following is a computed powder XRD pattern of YMgHg2. It was derived from the GGA-PBE geometry in OQMD, using Cu Kα (weighted mean of Kα1 and Kα2).
Kinematic intensities with the Lorentz-polarization factor, no thermal factor.

Structure:
abc: 6.2542 6.2542 6.2542
angles: 111.09 105.23 112.18
Atoms (fractional coordinates):
Y (0.2506, 0.0006, 0.2500)
Y (0.7494, 0.9994, 0.7500)
Mg (0.2496, 0.4996, 0.7500)
Mg (0.7504, 0.5004, 0.2500)
Hg (0.2496, 0.0000, 0.7496)
Hg (0.2496, 0.5000, 0.2496)
Hg (0.7504, 0.0000, 0.2504)
Hg (0.7504, 0.5000, 0.7504)

Most intense lines, 10 to 90 degrees two-theta, by angle:
| d [Å] | intensity |
| --- | --- |
| 3.797 | 39 |
| 2.589 | 100 |
| 2.569 | 98 |
| 2.484 | 89 |
| 1.509 | 38 |
| 1.457 | 34 |

=====

[6]
The following is a computed powder XRD pattern of HgSb2Mo. It was derived from the GGA-PBE geometry in OQMD, using Cu Kα (weighted mean of Kα1 and Kα2).
Kinematic intensities with the Lorentz-polarization factor, no thermal factor.

Structure:
abc: 5.0418 5.0418 5.0418
angles: 60.00 60.00 60.00
Atoms (fractional coordinates):
Hg (0.0000, 0.0000, 0.0000)
Sb (0.2500, 0.2500, 0.2500)
Sb (0.5000, 0.5000, 0.5000)
Mo (0.7500, 0.7500, 0.7500)

Most intense lines, 10 to 90 degrees two-theta, by angle:
| d [Å] | intensity |
| --- | --- |
| 4.117 | 5 |
| 2.521 | 100 |
| 1.783 | 18 |
| 1.455 | 36 |
| 1.260 | 11 |
| 1.127 | 16 |

=====

[7]
The following is a computed powder XRD pattern of HgTe4Mo2. It was derived from the GGA-PBE geometry in OQMD, using Cu Kα (weighted mean of Kα1 and Kα2).
Kinematic intensities with the Lorentz-polarization factor, no thermal factor.

Structure:
abc: 7.4272 7.4272 7.4272
angles: 130.05 130.05 73.33
Atoms (fractional coordinates):
Hg (0.0000, 0.0000, 0.0000)
Te (0.1256, 0.1367, 0.5465)
Te (0.4210, 0.8744, 0.0111)
Te (0.5902, 0.5790, 0.4535)
Te (0.8633, 0.4098, 0.9889)
Mo (0.2500, 0.7500, 0.5000)
Mo (0.5000, 0.5000, 0.0000)

Most intense lines, 10 to 90 degrees two-theta, by angle:
| d [Å] | intensity |
| --- | --- |
| 3.558 | 100 |
| 2.775 | 12 |
| 2.218 | 26 |
| 2.160 | 46 |
| 1.882 | 30 |
| 1.269 | 13 |

=====

[8]
The following is a computed powder XRD pattern of HgN. It was derived from the GGA-PBE geometry in OQMD, using Cu Kα (weighted mean of Kα1 and Kα2).
Kinematic intensities with the Lorentz-polarization factor, no thermal factor.

Structure:
abc: 6.2677 3.4256 5.9451
angles: 90.00 90.00 90.00
Atoms (fractional coordinates):
Hg (0.0000, 0.0000, 0.0000)
Hg (0.2500, 0.5000, 0.4943)
Hg (0.5000, 0.0000, 0.0000)
Hg (0.7500, 0.5000, 0.5057)
N (0.2500, 0.0000, 0.2487)
N (0.2500, 0.5000, 0.8460)
N (0.7500, 0.0000, 0.7513)
N (0.7500, 0.5000, 0.1540)

Most intense lines, 10 to 90 degrees two-theta, by angle:
| d [Å] | intensity |
| --- | --- |
| 2.970 | 100 |
| 2.772 | 57 |
| 2.312 | 36 |
| 1.825 | 37 |
| 1.714 | 23 |
| 1.386 | 21 |

=====

[9]
The following is a computed powder XRD pattern of NaHgNO. It was derived from the GGA-PBE geometry in OQMD, using Cu Kα (weighted mean of Kα1 and Kα2).
Kinematic intensities with the Lorentz-polarization factor, no thermal factor.

Structure:
abc: 4.6579 4.6579 4.6744
angles: 90.00 90.00 90.00
Atoms (fractional coordinates):
Na (0.2500, 0.2500, 0.0023)
Na (0.7500, 0.7500, 0.9977)
Hg (0.2500, 0.7500, 0.5000)
Hg (0.7500, 0.2500, 0.5000)
N (0.2500, 0.2500, 0.5030)
N (0.7500, 0.7500, 0.4970)
O (0.2500, 0.7500, 0.0000)
O (0.7500, 0.2500, 0.0000)

Most intense lines, 10 to 90 degrees two-theta, by angle:
| d [Å] | intensity |
| --- | --- |
| 4.674 | 76 |
| 3.294 | 71 |
| 2.692 | 100 |
| 2.329 | 57 |
| 2.085 | 39 |
| 1.650 | 38 |

=====

[10]
The following is a computed powder XRD pattern of Ni4Hg2N. It was derived from the GGA-PBE geometry in OQMD, using Cu Kα (weighted mean of Kα1 and Kα2).
Kinematic intensities with the Lorentz-polarization factor, no thermal factor.

Structure:
abc: 2.9131 2.9131 13.6034
angles: 90.00 90.00 120.00
Atoms (fractional coordinates):
Ni (0.3333, 0.6667, 0.4263)
Ni (0.3333, 0.6667, 0.9364)
Ni (0.6667, 0.3333, 0.0636)
Ni (0.6667, 0.3333, 0.5737)
Hg (0.3333, 0.6667, 0.2271)
Hg (0.6667, 0.3333, 0.7729)
N (0.0000, 0.0000, 0.5000)

Most intense lines, 10 to 90 degrees two-theta, by angle:
| d [Å] | intensity |
| --- | --- |
| 6.802 | 53 |
| 2.523 | 42 |
| 2.481 | 100 |
| 2.205 | 57 |
| 2.026 | 82 |
| 1.457 | 34 |

=====

[11]
The following is a computed powder XRD pattern of SmHgNO. It was derived from the GGA-PBE geometry in OQMD, using Cu Kα (weighted mean of Kα1 and Kα2).
Kinematic intensities with the Lorentz-polarization factor, no thermal factor.

Structure:
abc: 6.6627 7.5694 6.3938
angles: 90.00 90.00 90.00
Atoms (fractional coordinates):
Sm (0.0823, 0.1250, 0.0000)
Sm (0.4177, 0.1250, 0.5000)
Sm (0.5823, 0.8750, 0.0000)
Sm (0.9177, 0.8750, 0.5000)
Hg (0.2304, 0.5991, 0.8299)
Hg (0.2696, 0.5991, 0.3299)
Hg (0.7304, 0.4009, 0.8299)
Hg (0.7696, 0.4009, 0.3299)
N (0.0492, 0.6053, 0.5651)
N (0.4508, 0.6053, 0.0651)
N (0.5492, 0.3947, 0.5651)
N (0.9508, 0.3947, 0.0651)
O (0.1256, 0.0663, 0.6582)
O (0.3744, 0.0663, 0.1582)
O (0.6256, 0.9337, 0.6582)
O (0.8744, 0.9337, 0.1582)

Most intense lines, 10 to 90 degrees two-theta, by angle:
| d [Å] | intensity |
| --- | --- |
| 3.939 | 35 |
| 3.291 | 100 |
| 3.049 | 44 |
| 2.948 | 74 |
| 2.694 | 35 |
| 2.307 | 33 |

=====

[12]
The following is a computed powder XRD pattern of SrHgNO. It was derived from the GGA-PBE geometry in OQMD, using Cu Kα (weighted mean of Kα1 and Kα2).
Kinematic intensities with the Lorentz-polarization factor, no thermal factor.

Structure:
abc: 6.6433 7.5004 6.1910
angles: 90.00 90.00 90.00
Atoms (fractional coordinates):
Sr (0.0747, 0.1492, 0.0000)
Sr (0.4253, 0.1492, 0.5000)
Sr (0.5747, 0.8508, 0.0000)
Sr (0.9253, 0.8508, 0.5000)
Hg (0.0815, 0.6110, 0.0308)
Hg (0.4185, 0.6110, 0.5308)
Hg (0.5815, 0.3890, 0.0308)
Hg (0.9185, 0.3890, 0.5308)
N (0.1164, 0.5929, 0.6821)
N (0.3836, 0.5929, 0.1821)
N (0.6164, 0.4071, 0.6821)
N (0.8836, 0.4071, 0.1821)
O (0.0831, 0.1205, 0.6121)
O (0.4169, 0.1205, 0.1121)
O (0.5831, 0.8795, 0.6121)
O (0.9169, 0.8795, 0.1121)

Most intense lines, 10 to 90 degrees two-theta, by angle:
| d [Å] | intensity |
| --- | --- |
| 7.500 | 42 |
| 3.266 | 31 |
| 3.096 | 47 |
| 2.927 | 49 |
| 2.889 | 100 |
| 1.907 | 30 |